(1)
# NaAlS2O8
Theoretical PXRD pattern, a wavelength of 1.5418 Å. Input: a structure optimized by DFT (GGA-PBE).
Lines closer than 0.1° are merged.

Lattice parameters (Å, degrees): 4.711 4.711 7.309 92.54 92.54 65.06
Fractional positions:
Na 0.000 0.000 0.000
Al 0.000 0.000 0.500
S 0.363 0.363 0.711
S 0.637 0.637 0.289
O 0.230 0.230 0.560
O 0.231 0.711 0.688
O 0.289 0.769 0.312
O 0.299 0.299 0.893
O 0.701 0.701 0.107
O 0.711 0.231 0.688
O 0.769 0.289 0.312
O 0.770 0.770 0.440

Main lines, by angle (10° ≤ 2θ ≤ 80°):
12.13 deg, I 92
23.84 deg, I 100
24.45 deg, I 85
24.98 deg, I 38
26.13 deg, I 65
31.80 deg, I 71
32.73 deg, I 33
35.44 deg, I 30
38.40 deg, I 48
43.85 deg, I 15
63.86 deg, I 17
66.41 deg, I 15

(2)
# Sc2InNi2
Theoretical PXRD pattern, a wavelength of 1.5418 Å. Input: a structure optimized by DFT (GGA-PBE).
Lines closer than 0.1° are merged.

Lattice parameters (Å, degrees): 7.143 7.143 3.378 90.00 90.00 90.00
Fractional positions:
Sc 0.172 0.328 0.000
Sc 0.328 0.828 0.000
Sc 0.672 0.172 0.000
Sc 0.828 0.672 0.000
In 0.000 0.000 0.500
In 0.500 0.500 0.500
Ni 0.123 0.623 0.500
Ni 0.377 0.123 0.500
Ni 0.623 0.877 0.500
Ni 0.877 0.377 0.500

Main lines, by angle (10° ≤ 2θ ≤ 80°):
24.93 deg, I 16
26.39 deg, I 36
31.87 deg, I 17
35.55 deg, I 27
36.62 deg, I 70
38.80 deg, I 100
39.91 deg, I 93
45.80 deg, I 13
48.48 deg, I 41
54.32 deg, I 21
69.49 deg, I 33
73.14 deg, I 26

(3)
# ScBiO3
Theoretical PXRD pattern, a wavelength of 1.5418 Å. Input: a structure optimized by DFT (GGA-PBE).
Lines closer than 0.1° are merged.

Lattice parameters (Å, degrees): 5.796 5.796 10.150 106.21 106.21 61.13
Fractional positions:
Sc 0.003 0.500 0.750
Sc 0.245 0.755 0.500
Sc 0.500 0.003 0.250
Sc 0.755 0.245 0.000
Bi 0.205 0.573 0.132
Bi 0.300 0.939 0.866
Bi 0.573 0.205 0.632
Bi 0.939 0.300 0.366
O 0.078 0.116 0.163
O 0.116 0.078 0.663
O 0.144 0.516 0.581
O 0.354 0.431 0.334
O 0.357 0.985 0.420
O 0.431 0.354 0.834
O 0.516 0.144 0.081
O 0.569 0.618 0.137
O 0.618 0.569 0.637
O 0.871 0.952 0.369
O 0.952 0.871 0.869
O 0.985 0.357 0.920

Main lines, by angle (10° ≤ 2θ ≤ 80°):
17.74 deg, I 21
21.40 deg, I 52
21.71 deg, I 35
30.33 deg, I 18
30.50 deg, I 100
30.86 deg, I 64
31.76 deg, I 18
37.47 deg, I 15
43.60 deg, I 23
44.24 deg, I 19
49.90 deg, I 14
54.01 deg, I 17

(4)
# GdEr4Al15
Theoretical PXRD pattern, a wavelength of 1.5418 Å. Input: a structure optimized by DFT (GGA-PBE).
Lines closer than 0.1° are merged.

Lattice parameters (Å, degrees): 12.414 12.414 12.414 28.45 28.45 28.45
Fractional positions:
Gd 0.000 0.000 0.000
Er 0.131 0.131 0.131
Er 0.400 0.400 0.400
Er 0.600 0.600 0.600
Er 0.869 0.869 0.869
Al 0.000 0.500 0.500
Al 0.116 0.116 0.569
Al 0.116 0.569 0.116
Al 0.129 0.637 0.637
Al 0.363 0.363 0.871
Al 0.363 0.871 0.363
Al 0.431 0.884 0.884
Al 0.500 0.000 0.500
Al 0.500 0.500 0.000
Al 0.569 0.116 0.116
Al 0.637 0.129 0.637
Al 0.637 0.637 0.129
Al 0.871 0.363 0.363
Al 0.884 0.431 0.884
Al 0.884 0.884 0.431

Main lines, by angle (10° ≤ 2θ ≤ 80°):
19.52 deg, I 71
20.91 deg, I 29
24.25 deg, I 75
26.13 deg, I 70
29.27 deg, I 100
35.43 deg, I 53
37.79 deg, I 53
38.36 deg, I 71
39.64 deg, I 68
48.50 deg, I 50
60.71 deg, I 39
73.77 deg, I 43

(5)
# MnRh2Pb
Theoretical PXRD pattern, a wavelength of 1.5418 Å. Input: a structure optimized by DFT (GGA-PBE).
Lines closer than 0.1° are merged.

Lattice parameters (Å, degrees): 6.415 6.415 6.415 90.00 90.00 90.00
Fractional positions:
Mn 0.000 0.000 0.000
Mn 0.000 0.500 0.500
Mn 0.500 0.000 0.500
Mn 0.500 0.500 0.000
Rh 0.250 0.250 0.250
Rh 0.250 0.250 0.750
Rh 0.250 0.750 0.250
Rh 0.250 0.750 0.750
Rh 0.750 0.250 0.250
Rh 0.750 0.250 0.750
Rh 0.750 0.750 0.250
Rh 0.750 0.750 0.750
Pb 0.000 0.000 0.500
Pb 0.000 0.500 0.000
Pb 0.500 0.000 0.000
Pb 0.500 0.500 0.500

Main lines, by angle (10° ≤ 2θ ≤ 80°):
24.03 deg, I 23
27.81 deg, I 1
39.74 deg, I 100
46.98 deg, I 13
57.46 deg, I 17
63.18 deg, I 6
65.02 deg, I 1
72.13 deg, I 34
77.28 deg, I 4

(6)
# La7I3O18
Theoretical PXRD pattern, a wavelength of 1.5418 Å. Input: a structure optimized by DFT (GGA-PBE).
Lines closer than 0.1° are merged.

Lattice parameters (Å, degrees): 15.655 4.335 16.014 90.00 117.48 90.00
Fractional positions:
La 0.058 0.250 0.184
La 0.165 0.250 0.829
La 0.187 0.750 0.631
La 0.262 0.750 0.357
La 0.352 0.250 0.580
La 0.356 0.750 0.049
La 0.400 0.250 0.264
La 0.600 0.750 0.736
La 0.644 0.250 0.951
La 0.648 0.750 0.420
La 0.738 0.250 0.643
La 0.813 0.250 0.369
La 0.835 0.750 0.171
La 0.942 0.750 0.816
I 0.058 0.250 0.401
I 0.139 0.750 0.038
I 0.403 0.750 0.835
I 0.597 0.250 0.165
I 0.861 0.250 0.962
I 0.942 0.750 0.599
O 0.041 0.250 0.871
O 0.041 0.750 0.728
O 0.095 0.750 0.256
O 0.119 0.250 0.662
O 0.169 0.250 0.385
O 0.180 0.750 0.937
O 0.222 0.250 0.244
O 0.238 0.750 0.522
O 0.259 0.250 0.660
O 0.269 0.750 0.809
O 0.321 0.750 0.213
O 0.335 0.250 0.093
O 0.339 0.250 0.954
O 0.345 0.250 0.385
O 0.377 0.750 0.526
O 0.388 0.750 0.712
O 0.467 0.750 0.210
O 0.473 0.750 0.348
O 0.527 0.250 0.652
O 0.533 0.250 0.790
O 0.612 0.250 0.288
O 0.623 0.250 0.474
O 0.655 0.750 0.615
O 0.661 0.750 0.046
O 0.665 0.750 0.907
O 0.679 0.250 0.787
O 0.731 0.250 0.191
O 0.741 0.750 0.340
O 0.762 0.250 0.478
O 0.778 0.750 0.756
O 0.820 0.250 0.063
O 0.831 0.750 0.615
O 0.881 0.750 0.338
O 0.905 0.250 0.744
O 0.959 0.250 0.272
O 0.959 0.750 0.129

Main lines, by angle (10° ≤ 2θ ≤ 80°):
26.36 deg, I 74
26.48 deg, I 58
26.59 deg, I 88
26.84 deg, I 100
26.99 deg, I 50
28.23 deg, I 30
28.58 deg, I 52
29.16 deg, I 37
31.52 deg, I 35
41.50 deg, I 30
41.67 deg, I 86
51.36 deg, I 36

(7)
# AlCu2O4
Theoretical PXRD pattern, a wavelength of 1.5418 Å. Input: a structure optimized by DFT (GGA-PBE).
Lines closer than 0.1° are merged.

Lattice parameters (Å, degrees): 6.116 6.116 6.116 129.60 129.60 74.05
Fractional positions:
Al 0.375 0.125 0.250
Al 0.625 0.875 0.750
Cu 0.000 0.000 0.500
Cu 0.000 0.500 0.000
Cu 0.000 0.500 0.500
Cu 0.500 0.500 0.000
O 0.026 0.906 0.758
O 0.232 0.474 0.380
O 0.352 0.732 0.258
O 0.406 0.148 0.880
O 0.594 0.852 0.120
O 0.648 0.268 0.742
O 0.768 0.526 0.620
O 0.974 0.094 0.242

Main lines, by angle (10° ≤ 2θ ≤ 80°):
19.32 deg, I 59
32.43 deg, I 51
39.21 deg, I 100
39.79 deg, I 78
48.03 deg, I 13
49.87 deg, I 27
60.43 deg, I 17
62.01 deg, I 9
63.26 deg, I 37
65.30 deg, I 19
67.91 deg, I 17
72.61 deg, I 10

What did the sixth record say?
# La7I3O18
Theoretical PXRD pattern, a wavelength of 1.5418 Å. Input: a structure optimized by DFT (GGA-PBE).
Lines closer than 0.1° are merged.

Lattice parameters (Å, degrees): 15.655 4.335 16.014 90.00 117.48 90.00
Fractional positions:
La 0.058 0.250 0.184
La 0.165 0.250 0.829
La 0.187 0.750 0.631
La 0.262 0.750 0.357
La 0.352 0.250 0.580
La 0.356 0.750 0.049
La 0.400 0.250 0.264
La 0.600 0.750 0.736
La 0.644 0.250 0.951
La 0.648 0.750 0.420
La 0.738 0.250 0.643
La 0.813 0.250 0.369
La 0.835 0.750 0.171
La 0.942 0.750 0.816
I 0.058 0.250 0.401
I 0.139 0.750 0.038
I 0.403 0.750 0.835
I 0.597 0.250 0.165
I 0.861 0.250 0.962
I 0.942 0.750 0.599
O 0.041 0.250 0.871
O 0.041 0.750 0.728
O 0.095 0.750 0.256
O 0.119 0.250 0.662
O 0.169 0.250 0.385
O 0.180 0.750 0.937
O 0.222 0.250 0.244
O 0.238 0.750 0.522
O 0.259 0.250 0.660
O 0.269 0.750 0.809
O 0.321 0.750 0.213
O 0.335 0.250 0.093
O 0.339 0.250 0.954
O 0.345 0.250 0.385
O 0.377 0.750 0.526
O 0.388 0.750 0.712
O 0.467 0.750 0.210
O 0.473 0.750 0.348
O 0.527 0.250 0.652
O 0.533 0.250 0.790
O 0.612 0.250 0.288
O 0.623 0.250 0.474
O 0.655 0.750 0.615
O 0.661 0.750 0.046
O 0.665 0.750 0.907
O 0.679 0.250 0.787
O 0.731 0.250 0.191
O 0.741 0.750 0.340
O 0.762 0.250 0.478
O 0.778 0.750 0.756
O 0.820 0.250 0.063
O 0.831 0.750 0.615
O 0.881 0.750 0.338
O 0.905 0.250 0.744
O 0.959 0.250 0.272
O 0.959 0.750 0.129

Main lines, by angle (10° ≤ 2θ ≤ 80°):
26.36 deg, I 74
26.48 deg, I 58
26.59 deg, I 88
26.84 deg, I 100
26.99 deg, I 50
28.23 deg, I 30
28.58 deg, I 52
29.16 deg, I 37
31.52 deg, I 35
41.50 deg, I 30
41.67 deg, I 86
51.36 deg, I 36

Question: Number 2 is which compound?
Answer: Sc2InNi2